Structure and computed powder X-ray diffraction pattern of LiCoB2O5 (a GGA+U-relaxed structure; Cu Kα (weighted mean of Kα1 and Kα2)).
Peak positions follow from Bragg's law for the DFT cell and can differ from measured ones.

```
LiCoB2O5
1.0
5.2351 -5.1261 0.0000
5.2351 5.1261 0.0000
-5.0787 0.0000 8.2145
Li Co B O
4 4 8 20
Cartesian
1.4261 3.9616 6.1609
3.9654 1.7850 2.0536
1.4261 -1.7850 6.1609
3.9654 -3.9616 2.0536
-1.1224 1.6170 7.0360
1.4169 -1.6170 2.9287
3.9746 1.6170 5.2858
6.5139 -1.6170 1.1786
2.1317 3.4377 3.8795
5.7992 3.4377 0.2277
2.3189 0.0437 0.8118
-0.2204 -0.0437 4.9191
5.6120 0.0437 3.2954
3.0726 -0.0437 7.4027
-0.4077 -3.4377 7.9868
3.2599 -3.4377 4.3350
-0.9715 0.7328 4.0107
2.4558 3.0645 2.6172
0.1382 2.9510 7.2930
3.0436 1.1051 0.3249
-3.5108 -0.7328 8.1180
2.7140 2.9510 5.0287
5.4751 3.0645 1.4901
-0.2075 0.1896 6.2571
2.3318 -0.1896 2.1499
0.5042 -1.1051 4.4322
4.8873 1.1051 3.7823
3.0597 0.1896 6.0646
5.5990 -0.1896 1.9574
-0.0835 -3.0645 6.7244
2.6776 -2.9510 3.1858
8.9024 0.7328 0.0965
2.3480 -1.1051 7.8896
5.2533 -2.9510 0.9215
2.9357 -3.0645 5.5973
6.3630 -0.7328 4.2038
```

The 12 most intense peaks (2θ from 15° to 90°), sorted by position:
d = 4.453 Å, 19.9°, rel. 24
d = 4.414 Å, 20.1°, rel. 34
d = 4.376 Å, 20.3°, rel. 31
d = 4.349 Å, 20.4°, rel. 35
d = 3.662 Å, 24.3°, rel. 100
d = 3.328 Å, 26.8°, rel. 22
d = 2.983 Å, 30.0°, rel. 23
d = 2.851 Å, 31.4°, rel. 14
d = 2.787 Å, 32.1°, rel. 15
d = 2.446 Å, 36.7°, rel. 12
d = 2.410 Å, 37.3°, rel. 20
d = 1.897 Å, 48.0°, rel. 10